Calculated XRD peak list of AcRhBr6 for Cu Ka, from DFT lattice parameters and positions (PBE).
Peak positions follow from Bragg's law for the DFT cell and can differ from measured ones.

Atomic structure:
a b c (Å): 6.8368 6.8368 19.0360
angles (deg): 90.00 90.00 120.00
Space group R-3 (No. 148, hexagonal axes)
Unique sites:
1 Ac 0.0000 0.0000 0.0000 x3
2 Rh 0.0000 0.0000 0.5000 x3
3 Br 0.0165 0.6346 0.0907 x18

Top 10 peaks for 5° ≤ 2θ ≤ 70°, sorted by position:
d 5.027, I 100
d 3.709, I 56
d 3.009, I 96
d 2.925, I 17
d 2.827, I 30
d 2.325, I 83
d 2.178, I 26
d 2.025, I 26
d 1.974, I 42
d 1.505, I 17

---

Calculated XRD peak list of AcMg2Ni9 for Cu Ka, from DFT lattice parameters and positions (PBE).
Peak positions follow from Bragg's law for the DFT cell and can differ from measured ones.

Atomic structure:
a b c (Å): 4.9572 4.9572 15.8611
angles (deg): 90.00 90.00 120.00
Space group P6_3/mmc (No. 194)
Unique sites:
1 Ac 0.3333 0.6667 0.2500 x2
2 Mg 0.3333 0.6667 0.0313 x4
3 Ni 0.0000 0.0000 0.0000 x2
4 Ni 0.0000 0.0000 0.2500 x2
5 Ni 0.1681 0.3361 0.6207 x12
6 Ni 0.3333 0.6667 0.7500 x2

Top 10 peaks for 5° ≤ 2θ ≤ 70°, sorted by position:
d 7.931, I 58
d 3.775, I 21
d 3.333, I 41
d 2.551, I 30
d 2.479, I 27
d 2.366, I 25
d 2.127, I 43
d 2.102, I 100
d 1.983, I 26
d 1.346, I 22

---

Calculated XRD peak list of CaBi2C2O8 for Cu Ka, from DFT lattice parameters and positions (PBE).
Peak positions follow from Bragg's law for the DFT cell and can differ from measured ones.

Atomic structure:
a b c (Å): 3.3806 4.5958 22.1994
angles (deg): 90.00 90.00 90.00
Space group Immm (No. 71)
Unique sites:
1 Ca 0.0000 0.0000 0.0000 x2
2 Bi 0.0000 0.0000 0.1908 x4
3 C 0.0000 0.0000 0.4083 x4
4 O 0.0000 0.0000 0.3486 x4
5 O 0.0000 0.2438 0.4359 x8
6 O 0.0000 0.5000 0.2462 x4

Top 10 peaks for 5° ≤ 2θ ≤ 70°, sorted by position:
d 11.100, I 100
d 3.904, I 28
d 3.193, I 45
d 3.075, I 20
d 2.723, I 33
d 2.690, I 33
d 2.645, I 14
d 2.193, I 17
d 1.944, I 17
d 1.747, I 15